Starting from the GGA+U geometry in Alexandria, the powder XRD pattern of RbMoPO6 was computed for Cu Kα (weighted mean of Kα1 and Kα2).
No peak broadening, texture or thermal motion is included.

Principal peaks in the range 10 to 90 degrees two-theta, sorted by position:
| 2θ (°) | I (rel.) |
| --- | --- |
| 21.1 | 57 |
| 22.2 | 27 |
| 25.4 | 32 |
| 28.0 | 57 |
| 30.8 | 100 |
| 36.0 | 23 |

Atomic structure:
```
36
Lattice="0.0000 6.3654 8.0145 5.6167 0.0000 8.0145 5.6167 6.3654 0.0000" Properties=species:S:1:pos:R:3 pbc="T T T"
Rb 7.5448 4.7740 6.0109
Rb 10.3531 7.9567 10.0181
Rb 0.8802 4.7740 6.0109
Rb 3.6885 7.9567 10.0181
Mo 4.2125 1.9826 6.0109
Mo 7.0208 5.1653 10.0181
Mo 4.2125 7.5655 6.0109
Mo 7.0208 10.7482 10.0181
P 4.2125 4.7740 3.8925
P 7.0208 7.9567 7.8997
P 4.2125 4.7740 8.1293
P 7.0208 7.9567 12.1365
O 5.2550 4.0865 2.9385
O 3.5858 0.8733 4.8345
O 4.8392 0.8733 7.1872
O 7.6475 4.0559 8.8417
O 3.5338 3.6805 4.7243
O 4.8912 3.6805 7.2974
O 4.8912 5.8675 4.7243
O 3.1699 5.4615 2.9385
O 8.0634 8.6442 6.9457
O 7.6995 6.8632 8.7315
O 6.3941 4.0559 11.1945
O 5.9783 7.2692 6.9457
O 5.2550 5.4615 9.0832
O 4.8392 8.6748 4.8345
O 3.5338 5.8675 7.2974
O 3.1699 4.0865 9.0832
O 8.0634 7.2692 13.0904
O 6.3421 6.8632 11.3047
O 6.3421 9.0502 8.7315
O 7.6995 9.0502 11.3047
O 3.5858 8.6748 7.1872
O 6.3941 11.8575 8.8417
O 7.6475 11.8575 11.1945
O 5.9783 8.6442 13.0904
```